Structure and theoretical XRD peak list of Li3B2SbO6 (a crystal structure in the Materials Project, relaxed with GGA-PBE; Cu Kα X-rays).
Intensities are scaled so that the largest is 100.

Most intense lines, 15° ≤ 2θ ≤ 90°, by angle:
| two_theta | intensity |
| --- | --- |
| 18.38 | 62 |
| 19.31 | 100 |
| 19.61 | 28 |
| 21.16 | 37 |
| 25.79 | 36 |
| 26.98 | 25 |
| 33.61 | 54 |
| 34.11 | 31 |
| 34.97 | 23 |
| 39.87 | 25 |

Cell and atoms:
abc: 5.353 9.053 11.826
angles: 90.00 115.60 90.00
Positions (direct):
Li: 0.018 0.026 0.175
Li: 0.018 0.474 0.675
Li: 0.056 0.653 0.884
Li: 0.056 0.847 0.384
Li: 0.424 0.014 0.595
Li: 0.424 0.486 0.095
Li: 0.576 0.514 0.905
Li: 0.576 0.986 0.405
Li: 0.944 0.153 0.616
Li: 0.944 0.347 0.116
Li: 0.982 0.526 0.325
Li: 0.982 0.974 0.825
B: 0.040 0.171 0.379
B: 0.040 0.329 0.879
B: 0.469 0.172 0.133
B: 0.469 0.328 0.633
B: 0.531 0.672 0.367
B: 0.531 0.828 0.867
B: 0.960 0.671 0.121
B: 0.960 0.829 0.621
Sb: 0.474 0.673 0.626
Sb: 0.474 0.827 0.126
Sb: 0.526 0.173 0.874
Sb: 0.526 0.327 0.374
O: 0.066 0.184 0.844
O: 0.066 0.316 0.344
O: 0.168 0.642 0.082
O: 0.168 0.858 0.582
O: 0.212 0.058 0.378
O: 0.212 0.442 0.878
O: 0.312 0.668 0.400
O: 0.312 0.832 0.900
O: 0.332 0.044 0.140
O: 0.332 0.456 0.640
O: 0.374 0.196 0.664
O: 0.374 0.304 0.164
O: 0.626 0.696 0.836
O: 0.626 0.804 0.336
O: 0.668 0.544 0.360
O: 0.668 0.956 0.860
O: 0.688 0.168 0.100
O: 0.688 0.332 0.600
O: 0.788 0.558 0.122
O: 0.788 0.942 0.622
O: 0.832 0.142 0.418
O: 0.832 0.358 0.918
O: 0.934 0.684 0.656
O: 0.934 0.816 0.156


Structure and theoretical XRD peak list of Nb3Ni (a crystal structure in the Materials Project, relaxed with GGA-PBE; Cu Kα X-rays).
Intensities are scaled so that the largest is 100.

Most intense lines, 15° ≤ 2θ ≤ 90°, by angle:
| two_theta | intensity |
| --- | --- |
| 24.04 | 2 |
| 27.83 | 1 |
| 39.77 | 100 |
| 47.01 | 1 |
| 57.50 | 16 |
| 72.19 | 32 |
| 85.73 | 10 |

Cell and atoms:
abc: 4.533 4.533 4.533
angles: 60.00 60.00 60.00
Positions (direct):
Nb: 0.000 0.000 0.000
Nb: 0.250 0.250 0.250
Nb: 0.750 0.750 0.750
Ni: 0.500 0.500 0.500


Structure and theoretical XRD peak list of HgF2 (a crystal structure in the Materials Project, relaxed with GGA-PBE; Cu Kα X-rays).
Intensities are scaled so that the largest is 100.

Most intense lines, 15° ≤ 2θ ≤ 90°, by angle:
| two_theta | intensity |
| --- | --- |
| 26.59 | 47 |
| 28.68 | 92 |
| 29.98 | 43 |
| 30.60 | 100 |
| 40.50 | 46 |
| 44.30 | 35 |
| 52.43 | 26 |
| 53.62 | 26 |
| 54.41 | 34 |
| 57.09 | 29 |

Cell and atoms:
abc: 5.961 3.773 7.299
angles: 90.00 90.00 90.00
Positions (direct):
Hg: 0.242 0.250 0.107
Hg: 0.258 0.750 0.607
Hg: 0.742 0.250 0.393
Hg: 0.758 0.750 0.893
F: 0.013 0.250 0.836
F: 0.141 0.250 0.420
F: 0.359 0.750 0.920
F: 0.487 0.750 0.336
F: 0.513 0.250 0.664
F: 0.641 0.250 0.080
F: 0.859 0.750 0.580
F: 0.987 0.750 0.164


Structure and theoretical XRD peak list of PbI2 (a crystal structure in the Materials Project, relaxed with GGA-PBE; Cu Kα X-rays).
Intensities are scaled so that the largest is 100.

Most intense lines, 15° ≤ 2θ ≤ 90°, by angle:
| two_theta | intensity |
| --- | --- |
| 24.96 | 100 |
| 32.33 | 53 |
| 38.62 | 49 |
| 40.46 | 19 |
| 42.07 | 26 |
| 46.53 | 19 |
| 51.22 | 15 |
| 62.01 | 16 |
| 63.08 | 23 |
| 65.94 | 14 |

Cell and atoms:
abc: 4.663 4.663 53.260
angles: 90.00 90.00 120.00
Positions (direct):
Pb: 0.000 0.000 0.000
Pb: 0.000 0.000 0.142
Pb: 0.000 0.000 0.285
Pb: 0.000 0.000 0.428
Pb: 0.000 0.000 0.714
Pb: 0.000 0.000 0.857
Pb: 0.667 0.333 0.571
I: 0.000 0.000 0.536
I: 0.333 0.667 0.035
I: 0.333 0.667 0.178
I: 0.333 0.667 0.320
I: 0.333 0.667 0.463
I: 0.333 0.667 0.606
I: 0.333 0.667 0.750
I: 0.333 0.667 0.892
I: 0.667 0.333 0.107
I: 0.667 0.333 0.250
I: 0.667 0.333 0.393
I: 0.667 0.333 0.679
I: 0.667 0.333 0.822
I: 0.667 0.333 0.965


Structure and theoretical XRD peak list of Rb2PuCl4O2 (a crystal structure in the Materials Project, relaxed with GGA-PBE; Cu Kα X-rays).
Intensities are scaled so that the largest is 100.

Most intense lines, 15° ≤ 2θ ≤ 90°, by angle:
| two_theta | intensity |
| --- | --- |
| 15.31 | 40 |
| 20.72 | 100 |
| 20.88 | 31 |
| 23.45 | 22 |
| 24.73 | 70 |
| 31.60 | 81 |
| 33.80 | 28 |
| 39.64 | 20 |
| 41.41 | 18 |
| 50.70 | 26 |

Cell and atoms:
abc: 7.215 7.215 5.790
angles: 91.01 91.01 63.45
Positions (direct):
Rb: 0.157 0.157 0.280
Rb: 0.843 0.843 0.720
Pu: 0.500 0.500 0.000
Cl: 0.138 0.644 0.218
Cl: 0.356 0.862 0.782
Cl: 0.644 0.138 0.218
Cl: 0.862 0.356 0.782
O: 0.393 0.393 0.787
O: 0.607 0.607 0.213


Structure and theoretical XRD peak list of K2LiTbCl6 (a crystal structure in the Materials Project, relaxed with GGA-PBE; Cu Kα X-rays).
Intensities are scaled so that the largest is 100.

Most intense lines, 15° ≤ 2θ ≤ 90°, by angle:
| two_theta | intensity |
| --- | --- |
| 17.04 | 65 |
| 24.18 | 70 |
| 28.44 | 75 |
| 34.47 | 100 |
| 37.67 | 38 |
| 38.69 | 32 |
| 42.55 | 32 |
| 45.27 | 26 |
| 49.54 | 65 |
| 82.97 | 27 |

Cell and atoms:
abc: 7.360 7.360 7.360
angles: 60.00 60.00 60.00
Positions (direct):
K: 0.250 0.250 0.250
K: 0.750 0.750 0.750
Li: 0.000 0.000 0.000
Tb: 0.500 0.500 0.500
Cl: 0.247 0.247 0.753
Cl: 0.247 0.753 0.247
Cl: 0.247 0.753 0.753
Cl: 0.753 0.247 0.247
Cl: 0.753 0.247 0.753
Cl: 0.753 0.753 0.247


Structure and theoretical XRD peak list of Nb4AlN3 (a crystal structure in the Materials Project, relaxed with GGA-PBE; Cu Kα X-rays).
Intensities are scaled so that the largest is 100.

Most intense lines, 15° ≤ 2θ ≤ 90°, by angle:
| two_theta | intensity |
| --- | --- |
| 27.81 | 12 |
| 34.45 | 16 |
| 34.96 | 18 |
| 36.06 | 13 |
| 38.78 | 100 |
| 49.89 | 17 |
| 58.69 | 16 |
| 61.71 | 21 |
| 72.93 | 13 |
| 75.32 | 14 |

Cell and atoms:
abc: 3.006 3.006 25.667
angles: 90.00 90.00 120.00
Positions (direct):
Nb: 0.333 0.667 0.055
Nb: 0.333 0.667 0.445
Nb: 0.333 0.667 0.663
Nb: 0.333 0.667 0.837
Nb: 0.667 0.333 0.163
Nb: 0.667 0.333 0.337
Nb: 0.667 0.333 0.555
Nb: 0.667 0.333 0.945
Al: 0.333 0.667 0.250
Al: 0.667 0.333 0.750
N: 0.000 0.000 0.000
N: 0.000 0.000 0.109
N: 0.000 0.000 0.391
N: 0.000 0.000 0.500
N: 0.000 0.000 0.609
N: 0.000 0.000 0.891


Structure and theoretical XRD peak list of Pm2RuRh (a crystal structure in the Materials Project, relaxed with GGA-PBE; Cu Kα X-rays).
Intensities are scaled so that the largest is 100.

Most intense lines, 15° ≤ 2θ ≤ 90°, by angle:
| two_theta | intensity |
| --- | --- |
| 25.39 | 3 |
| 36.22 | 100 |
| 44.75 | 1 |
| 52.15 | 17 |
| 58.87 | 2 |
| 65.15 | 35 |
| 76.88 | 11 |
| 82.50 | 1 |
| 88.06 | 16 |

Cell and atoms:
abc: 4.960 4.960 4.960
angles: 60.00 60.00 60.00
Positions (direct):
Pm: 0.250 0.250 0.250
Pm: 0.750 0.750 0.750
Ru: 0.000 0.000 0.000
Rh: 0.500 0.500 0.500